Record 1
# Na8B13C3
Theoretical XRD peak list, Cu Ka. Input: a DFT-relaxed cell (GGA-PBE, Alexandria).
Peak positions follow from Bragg's law for the DFT cell and can differ from measured ones.

Peak list (10 most intense, 10° ≤ 2θ ≤ 80°, sorted by position)
| Position (°2θ) | Rel. int. |
| --- | --- |
| 35.06 | 22 |
| 40.97 | 100 |
| 41.21 | 55 |
| 41.74 | 38 |
| 55.61 | 12 |
| 62.71 | 9 |
| 63.26 | 18 |
| 75.67 | 13 |
| 78.19 | 9 |
| 78.69 | 17 |

Structure:
```
data_Na8B13C3
_symmetry_space_group_name_H-M 'P 1 m 1'
_symmetry_Int_Tables_number 6
_cell_length_a 5.0795
_cell_length_b 8.6566
_cell_length_c 5.9260
_cell_angle_alpha 90.00
_cell_angle_beta 90.08
_cell_angle_gamma 90.00
loop_
_symmetry_equiv_pos_as_xyz
'x,y,z'
'x,-y,z'
loop_
_atom_site_label
_atom_site_type_symbol
_atom_site_fract_x
_atom_site_fract_y
_atom_site_fract_z
Na1 Na 0.0000 0.2490 0.0000
Na2 Na 0.0007 0.2503 0.4998
Na3 Na 0.4992 0.2498 0.2498
Na4 Na 0.5017 0.2509 0.7496
B1 B 0.1465 0.5000 0.7497
B2 B 0.1659 0.5000 0.2498
B3 B 0.1834 0.0000 0.7475
B4 B 0.3038 0.0000 0.4843
B5 B 0.3363 0.0000 0.0096
B6 B 0.3371 0.5000 0.5012
B7 B 0.3379 0.5000 0.9983
B8 B 0.6808 0.5000 0.5135
B9 B 0.6808 0.5000 0.9860
B10 B 0.6843 0.0000 0.5023
B11 B 0.8047 0.0000 0.7656
B12 B 0.8222 0.5000 0.2495
B13 B 0.8366 0.0000 0.2402
C1 C 0.1762 0.0000 0.2430
C2 C 0.6763 0.0000 0.0071
C3 C 0.8333 0.5000 0.7495
```

Record 2
# HoTlBi2O4
Theoretical XRD peak list, Cu Ka. Input: a DFT-relaxed cell (GGA-PBE, Alexandria).
Peak positions follow from Bragg's law for the DFT cell and can differ from measured ones.

Peak list (10 most intense, 10° ≤ 2θ ≤ 80°, sorted by position)
| Position (°2θ) | Rel. int. |
| --- | --- |
| 28.49 | 100 |
| 32.49 | 30 |
| 34.05 | 13 |
| 46.60 | 16 |
| 47.77 | 28 |
| 55.53 | 32 |
| 57.58 | 13 |
| 58.96 | 11 |
| 75.35 | 7 |
| 77.11 | 11 |

Structure:
```
data_HoTlBi2O4
_symmetry_space_group_name_H-M 'P 4/m m m'
_symmetry_Int_Tables_number 123
_symmetry_space_group_name_Hall '-P 4 2'
_cell_length_a 3.8976
_cell_length_b 3.8976
_cell_length_c 10.5329
_cell_angle_alpha 90.00
_cell_angle_beta 90.00
_cell_angle_gamma 90.00
loop_
_atom_site_label
_atom_site_type_symbol
_atom_site_fract_x
_atom_site_fract_y
_atom_site_fract_z
Ho1 Ho 0.0000 0.0000 0.0000
Tl1 Tl 0.0000 0.0000 0.5000
Bi1 Bi 0.5000 0.5000 0.2382
O1 O 0.0000 0.5000 0.1303
```

Record 3
# TbTm2ScTl2
Theoretical XRD peak list, Cu Ka. Input: a DFT-relaxed cell (GGA-PBE, Alexandria).
Peak positions follow from Bragg's law for the DFT cell and can differ from measured ones.

Peak list (10 most intense, 10° ≤ 2θ ≤ 80°, sorted by position)
| Position (°2θ) | Rel. int. |
| --- | --- |
| 22.49 | 11 |
| 30.61 | 14 |
| 31.85 | 32 |
| 33.18 | 100 |
| 35.73 | 26 |
| 36.42 | 32 |
| 38.34 | 12 |
| 43.91 | 10 |
| 58.72 | 12 |
| 63.50 | 16 |

Structure:
```
data_TbTm2ScTl2
_symmetry_space_group_name_H-M 'P m c 21'
_symmetry_Int_Tables_number 26
_cell_length_a 4.9334
_cell_length_b 9.6896
_cell_length_c 6.8355
_cell_angle_alpha 90.00
_cell_angle_beta 90.00
_cell_angle_gamma 90.00
loop_
_symmetry_equiv_pos_as_xyz
'x,y,z'
'-x,-y,z+1/2'
'-x,y,z'
'x,-y,z+1/2'
loop_
_atom_site_label
_atom_site_type_symbol
_atom_site_fract_x
_atom_site_fract_y
_atom_site_fract_z
Tb1 Tb 0.0000 0.0476 0.0000
Tm1 Tm 0.0000 0.3113 0.3910
Tm2 Tm 0.5000 0.4521 0.1004
Sc1 Sc 0.5000 0.1974 0.7125
Tl1 Tl 0.0000 0.3657 0.8405
Tl2 Tl 0.5000 0.1229 0.2713
```

Record 4
# LiEr6S5
Theoretical XRD peak list, Cu Ka. Input: a DFT-relaxed cell (GGA-PBE, Alexandria).
Peak positions follow from Bragg's law for the DFT cell and can differ from measured ones.

Peak list (10 most intense, 10° ≤ 2θ ≤ 80°, sorted by position)
| Position (°2θ) | Rel. int. |
| --- | --- |
| 26.29 | 30 |
| 27.33 | 30 |
| 28.13 | 57 |
| 33.88 | 100 |
| 38.29 | 28 |
| 43.39 | 16 |
| 48.31 | 38 |
| 55.14 | 21 |
| 55.83 | 24 |
| 60.31 | 19 |

Structure:
```
data_LiEr6S5
_symmetry_space_group_name_H-M 'P 63/m c m'
_symmetry_Int_Tables_number 193
_symmetry_space_group_name_Hall '-P 6c 2'
_cell_length_a 6.5260
_cell_length_b 6.5260
_cell_length_c 13.5582
_cell_angle_alpha 90.00
_cell_angle_beta 90.00
_cell_angle_gamma 120.00
loop_
_atom_site_label
_atom_site_type_symbol
_atom_site_fract_x
_atom_site_fract_y
_atom_site_fract_z
Li1 Li 0.0000 0.0000 0.2500
Er1 Er 0.0000 0.3350 0.1141
S1 S 0.0000 0.3442 0.7500
S2 S 0.3333 0.6667 0.0000
```

Record 5
# Cd6Ni
Theoretical XRD peak list, Cu Ka. Input: a DFT-relaxed cell (GGA-PBE, Alexandria).
Peak positions follow from Bragg's law for the DFT cell and can differ from measured ones.

Peak list (10 most intense, 10° ≤ 2θ ≤ 80°, sorted by position)
| Position (°2θ) | Rel. int. |
| --- | --- |
| 30.97 | 81 |
| 32.34 | 77 |
| 36.14 | 94 |
| 37.47 | 43 |
| 38.03 | 100 |
| 39.04 | 63 |
| 39.71 | 97 |
| 40.93 | 36 |
| 43.44 | 43 |
| 64.34 | 32 |

Structure:
```
data_Cd6Ni
_symmetry_space_group_name_H-M 'C m c m'
_symmetry_Int_Tables_number 63
_symmetry_space_group_name_Hall '-C 2c 2'
_cell_length_a 8.2591
_cell_length_b 7.2079
_cell_length_c 9.6514
_cell_angle_alpha 90.00
_cell_angle_beta 90.00
_cell_angle_gamma 90.00
loop_
_atom_site_label
_atom_site_type_symbol
_atom_site_fract_x
_atom_site_fract_y
_atom_site_fract_z
Cd1 Cd 0.0000 0.1515 0.0949
Cd2 Cd 0.1762 0.5000 0.0000
Cd3 Cd 0.1845 0.2164 0.7500
Ni1 Ni 0.0000 0.4647 0.2500
```

Record 6
# YSc4O
Theoretical XRD peak list, Cu Ka. Input: a DFT-relaxed cell (GGA-PBE, Alexandria).
Peak positions follow from Bragg's law for the DFT cell and can differ from measured ones.

Peak list (10 most intense, 10° ≤ 2θ ≤ 80°, sorted by position)
| Position (°2θ) | Rel. int. |
| --- | --- |
| 23.17 | 16 |
| 27.71 | 16 |
| 33.56 | 64 |
| 33.81 | 100 |
| 35.74 | 55 |
| 36.18 | 42 |
| 37.41 | 24 |
| 44.80 | 19 |
| 51.77 | 27 |
| 68.16 | 23 |

Structure:
```
data_YSc4O
_symmetry_space_group_name_H-M 'C m c m'
_symmetry_Int_Tables_number 63
_symmetry_space_group_name_Hall '-C 2c 2'
_cell_length_a 5.0241
_cell_length_b 15.6076
_cell_length_c 6.4380
_cell_angle_alpha 90.00
_cell_angle_beta 90.00
_cell_angle_gamma 90.00
loop_
_atom_site_label
_atom_site_type_symbol
_atom_site_fract_x
_atom_site_fract_y
_atom_site_fract_z
Y1 Y 0.0000 0.2052 0.2500
Sc1 Sc 0.0000 0.0026 0.7500
Sc2 Sc 0.0000 0.1971 0.7500
Sc3 Sc 0.0000 0.4023 0.0020
O1 O 0.0000 0.4988 0.7500
```